# 1
LaMgCuTeS2: computed powder diffractogram (copper Kα), based on DFT lattice parameters and positions (GGA-PBE).

Cell and atoms:
```
LaMgCuTeS2
1.0
1.9505 -6.6257 0.0000
1.9505 6.6257 0.0000
0.0000 0.0000 11.3598
La Mg Cu Te S
2 2 2 2 4
Cartesian
0.0000 0.0000 0.0000
0.0000 0.0000 5.6799
1.9505 4.0561 8.5199
1.9505 -4.0561 2.8400
1.9505 0.2049 2.8400
1.9505 -0.2049 8.5199
1.9505 5.0474 2.8400
1.9505 -5.0474 8.5199
1.9505 1.7737 1.1276
1.9505 1.7737 4.5523
1.9505 -1.7737 6.8075
1.9505 -1.7737 10.2322
```

The 10 most intense peaks (2θ from 10° to 90°), in order of rising 2θ:
2θ (°)  Rel. int.
13.36  82
23.78  18
25.05  21
27.12  23
31.26  18
31.55  57
34.36  20
34.50  100
39.85  27
44.29  39

# 2
La3NdCu4: computed powder diffractogram (copper Kα), based on DFT lattice parameters and positions (GGA-PBE).

Cell and atoms:
```
La3NdCu4
1.0
5.6917 0.0000 0.0000
0.0000 4.5956 0.0000
-0.0440 0.0000 7.4167
La Nd Cu
3 1 4
Cartesian
0.0000 0.0000 0.0000
1.3425 0.0000 3.6803
2.8155 2.2978 6.3745
4.1926 2.2978 2.6606
1.4087 2.2978 1.5809
2.8086 0.0000 1.0992
4.2398 0.0000 4.7546
5.6020 2.2978 5.2645
```

The 10 most intense peaks (2θ from 10° to 90°), in order of rising 2θ:
2θ (°)  Rel. int.
24.90  25
27.70  76
30.99  92
33.67  40
33.80  39
34.79  42
34.92  46
39.10  43
39.21  100
52.66  44

Q: Number 2 is which compound?
A: La3NdCu4